# 1
Diffraction record for AlGa2Au6. The powder XRD pattern is computed, not measured: it uses a DFT-relaxed cell (PBE, Alexandria) and λ = 1.5418 Å (Cu Kα).
Peak positions follow from Bragg's law for the DFT cell and can differ from measured ones.

Cell and atoms:
```
data_AlGa2Au6
_chemical_formula_sum 'Al2 Ga4 Au12'
_space_group_name_H-M_alt 'C 1 2/m 1'
_space_group_IT_number 12
_space_group_name_Hall '-C 2y'
_cell_length_a 11.664
_cell_length_b 4.661
_cell_length_c 7.687
_cell_angle_alpha 90.00
_cell_angle_beta 127.70
_cell_angle_gamma 90.00
loop_
_atom_site_label
_atom_site_type_symbol
_atom_site_fract_x
_atom_site_fract_y
_atom_site_fract_z
_atom_site_occupancy
Al1 Al 0.000 0.000 0.000 1
Ga1 Ga 0.133 0.000 0.470 1
Au1 Au 0.003 0.500 0.819 1
Au2 Au 0.163 0.000 0.853 1
Au3 Au 0.205 0.500 0.671 1
```

The 10 most intense peaks (2θ from 5° to 70°), in order of rising 2θ:
d/Å  I_rel
2.970  55
2.917  34
2.863  22
2.798  27
2.568  33
2.331  69
2.242  100
2.185  69
2.086  31
1.821  21

---

# 2
Diffraction record for Ac2Dy5Er6. The powder XRD pattern is computed, not measured: it uses a DFT-relaxed cell (PBE, Alexandria) and λ = 1.5418 Å (Cu Kα).
Peak positions follow from Bragg's law for the DFT cell and can differ from measured ones.

Cell and atoms:
```
data_Ac2Dy5Er6
_chemical_formula_sum 'Ac4 Dy10 Er12'
_space_group_name_H-M_alt 'P b a m'
_space_group_IT_number 55
_space_group_name_Hall '-P 2 2ab'
_cell_length_a 11.858
_cell_length_b 20.226
_cell_length_c 3.623
_cell_angle_alpha 90.00
_cell_angle_beta 90.00
_cell_angle_gamma 90.00
loop_
_atom_site_label
_atom_site_type_symbol
_atom_site_fract_x
_atom_site_fract_y
_atom_site_fract_z
_atom_site_occupancy
Ac1 Ac 0.161 0.222 0.000 1
Dy1 Dy 0.000 0.500 0.500 1
Dy2 Dy 0.101 0.783 0.500 1
Dy3 Dy 0.200 0.052 0.500 1
Er1 Er 0.060 0.925 0.000 1
Er2 Er 0.075 0.638 0.000 1
Er3 Er 0.183 0.382 0.500 1
```

The 10 most intense peaks (2θ from 5° to 70°), in order of rising 2θ:
d/Å  I_rel
3.086  12
2.933  33
2.858  24
2.845  11
2.827  16
2.809  100
2.638  20
2.565  12
2.483  14
1.812  13

---

# 3
Diffraction record for PrTh6Se8. The powder XRD pattern is computed, not measured: it uses a DFT-relaxed cell (PBE, Alexandria) and λ = 1.5418 Å (Cu Kα).
Peak positions follow from Bragg's law for the DFT cell and can differ from measured ones.

Cell and atoms:
```
data_PrTh6Se8
_chemical_formula_sum 'Pr4 Th24 Se32'
_space_group_name_H-M_alt 'F m -3 m'
_space_group_IT_number 225
_space_group_name_Hall '-F 4 2 3'
_cell_length_a 11.833
_cell_length_b 11.833
_cell_length_c 11.833
_cell_angle_alpha 90.00
_cell_angle_beta 90.00
_cell_angle_gamma 90.00
loop_
_atom_site_label
_atom_site_type_symbol
_atom_site_fract_x
_atom_site_fract_y
_atom_site_fract_z
_atom_site_occupancy
Pr1 Pr 0.000 0.000 0.000 1
Th1 Th 0.000 0.250 0.250 1
Se1 Se 0.000 0.000 0.260 1
Se2 Se 0.250 0.250 0.250 1
```

The 10 most intense peaks (2θ from 5° to 70°), in order of rising 2θ:
d/Å  I_rel
5.916  10
4.184  9
3.416  30
2.958  100
2.646  6
2.092  75
1.784  16
1.708  27
1.479  12
1.357  7

---

# 4
Diffraction record for Dy6Y. The powder XRD pattern is computed, not measured: it uses a DFT-relaxed cell (PBE, Alexandria) and λ = 1.5418 Å (Cu Kα).
Peak positions follow from Bragg's law for the DFT cell and can differ from measured ones.

Cell and atoms:
```
data_Dy6Y
_chemical_formula_sum 'Dy12 Y2'
_space_group_name_H-M_alt 'P 4/n b m'
_space_group_IT_number 125
_cell_length_a 6.483
_cell_length_b 6.483
_cell_length_c 10.982
_cell_angle_alpha 90.00
_cell_angle_beta 90.00
_cell_angle_gamma 90.00
loop_
_space_group_symop_operation_xyz
'x,y,z'
'-x,-y,-z'
'-y+1/2,x,z'
'y+1/2,-x,-z'
'-x+1/2,-y+1/2,z'
'x+1/2,y+1/2,-z'
'y,-x+1/2,z'
'-y,x+1/2,-z'
'x,-y+1/2,-z'
'-x,y+1/2,z'
'-y+1/2,-x+1/2,-z'
'y+1/2,x+1/2,z'
'-x+1/2,y,-z'
'x+1/2,-y,z'
'y,x,-z'
'-y,-x,z'
loop_
_atom_site_label
_atom_site_type_symbol
_atom_site_fract_x
_atom_site_fract_y
_atom_site_fract_z
_atom_site_occupancy
Dy1 Dy 0.082 0.582 0.138 1
Dy2 Dy 0.250 0.250 0.360 1
Y1 Y 0.250 0.750 0.500 1
```

The 10 most intense peaks (2θ from 5° to 70°), in order of rising 2θ:
d/Å  I_rel
4.230  37
3.109  98
2.861  77
2.803  76
2.746  45
2.564  100
2.427  43
2.050  35
1.643  55
1.512  34

---

# 5
Diffraction record for Li4LaOs. The powder XRD pattern is computed, not measured: it uses a DFT-relaxed cell (PBE, Alexandria) and λ = 1.5418 Å (Cu Kα).
Peak positions follow from Bragg's law for the DFT cell and can differ from measured ones.

Cell and atoms:
```
data_Li4LaOs
_chemical_formula_sum 'Li16 La4 Os4'
_space_group_name_H-M_alt 'F -4 3 m'
_space_group_IT_number 216
_space_group_name_Hall 'F -4 2 3'
_cell_length_a 7.356
_cell_length_b 7.356
_cell_length_c 7.356
_cell_angle_alpha 90.00
_cell_angle_beta 90.00
_cell_angle_gamma 90.00
loop_
_atom_site_label
_atom_site_type_symbol
_atom_site_fract_x
_atom_site_fract_y
_atom_site_fract_z
_atom_site_occupancy
Li1 Li 0.120 0.120 0.120 1
La1 La 0.000 0.000 0.500 1
Os1 Os 0.250 0.250 0.750 1
```

The 10 most intense peaks (2θ from 5° to 70°), in order of rising 2θ:
d/Å  I_rel
4.247  100
3.678  2
2.601  92
2.218  65
2.123  1
1.839  15
1.688  24
1.645  1
1.502  34
1.416  21

---

# 6
Diffraction record for TcSnIrOsS. The powder XRD pattern is computed, not measured: it uses a DFT-relaxed cell (PBE, Alexandria) and λ = 1.5418 Å (Cu Kα).
Peak positions follow from Bragg's law for the DFT cell and can differ from measured ones.

Cell and atoms:
```
data_TcSnIrOsS
_chemical_formula_sum 'Tc2 Sn2 Ir2 Os2 S2'
_space_group_name_H-M_alt 'A m m 2'
_space_group_IT_number 38
_space_group_name_Hall 'A 2 -2'
_cell_length_a 3.656
_cell_length_b 2.910
_cell_length_c 15.949
_cell_angle_alpha 90.00
_cell_angle_beta 90.00
_cell_angle_gamma 90.00
loop_
_atom_site_label
_atom_site_type_symbol
_atom_site_fract_x
_atom_site_fract_y
_atom_site_fract_z
_atom_site_occupancy
Tc1 Tc 0.000 0.000 0.000 1
Sn1 Sn 0.000 0.000 0.187 1
Ir1 Ir 0.500 0.000 0.583 1
Os1 Os 0.000 0.000 0.356 1
S1 S 0.500 0.000 0.889 1
```

The 10 most intense peaks (2θ from 5° to 70°), in order of rising 2θ:
d/Å  I_rel
7.975  15
3.987  23
3.323  40
2.552  16
2.254  71
2.150  100
2.093  31
1.828  22
1.610  14
1.393  23

---

# 7
Diffraction record for NaLi2VCl6. The powder XRD pattern is computed, not measured: it uses a DFT-relaxed cell (PBE, Alexandria) and λ = 1.5418 Å (Cu Kα).
Peak positions follow from Bragg's law for the DFT cell and can differ from measured ones.

Cell and atoms:
```
data_NaLi2VCl6
_chemical_formula_sum 'Na3 Li6 V3 Cl18'
_space_group_name_H-M_alt 'R 3'
_space_group_IT_number 146
_space_group_name_Hall 'R 3'
_cell_length_a 6.4471
_cell_length_b 6.4471
_cell_length_c 17.8063
_cell_angle_alpha 90.00
_cell_angle_beta 90.00
_cell_angle_gamma 120.00
loop_
_atom_site_label
_atom_site_type_symbol
_atom_site_fract_x
_atom_site_fract_y
_atom_site_fract_z
_atom_site_occupancy
Na1 Na 0.0000 0.0000 0.0000 1
Li1 Li 0.0000 0.0000 0.2964 1
Li2 Li 0.0000 0.0000 0.8073 1
V1 V 0.0000 0.0000 0.4877 1
Cl1 Cl 0.0067 0.3170 0.5611 1
Cl2 Cl 0.0250 0.7190 0.4054 1
```

The 10 most intense peaks (2θ from 5° to 70°), in order of rising 2θ:
d/Å  I_rel
5.328  21
4.730  37
3.481  13
2.968  11
2.833  100
2.183  46
1.907  10
1.861  29
1.686  18
1.555  10